Computed powder diffractogram of FeAs2Pb4Cl4O8 for Cu Kα (λ = 1.5418 Å), from a structure optimized by DFT (GGA+U).
Kinematic intensities with the Lorentz-polarization factor, no thermal factor.

Peak list (6 most intense, 5 to 70 degrees two-theta, in order of rising 2θ)
- 2θ 21.5, d 4.128, intensity 95
- 2θ 22.3, d 3.988, intensity 76
- 2θ 26.9, d 3.314, intensity 84
- 2θ 30.5, d 2.930, intensity 100
- 2θ 32.1, d 2.792, intensity 74
- 2θ 33.0, d 2.712, intensity 61

```
FeAs2Pb4Cl4O8
1.0
5.644 0.000 0.000
-0.243 6.754 0.000
-1.406 -2.105 9.806
Fe As Pb Cl O
1 2 4 4 8
Direct
0.000 0.000 0.000 Fe
0.163 0.208 0.275 As
0.837 0.792 0.725 As
0.263 0.708 0.458 Pb
0.348 0.593 0.836 Pb
0.652 0.407 0.164 Pb
0.737 0.292 0.542 Pb
0.190 0.723 0.124 Cl
0.266 0.156 0.600 Cl
0.734 0.844 0.400 Cl
0.810 0.277 0.876 Cl
0.017 0.596 0.657 O
0.145 0.916 0.848 O
0.251 0.191 0.107 O
0.447 0.361 0.351 O
0.553 0.639 0.649 O
0.749 0.809 0.893 O
0.855 0.084 0.152 O
0.983 0.404 0.343 O
```